[1]
This entry pairs a crystal structure of Zr5Ta with its simulated powder X-ray diffraction pattern. Radiation: λ = 1.5418 Å (Cu Kα). Structure: DFT lattice parameters and positions (PBE).

```
12
Lattice="5.0285 0.0000 0.0000 0.0000 15.1852 0.0000 0.0000 0.0000 3.4815" Properties=species:S:1:pos:R:3 pbc="T T T"
Zr 0.0000 0.0000 0.0000
Zr 0.0000 2.6305 1.7407
Zr 0.0000 5.3039 0.0000
Zr 0.0000 9.8814 0.0000
Zr 0.0000 12.5548 1.7407
Zr 2.5143 2.2887 0.0000
Zr 2.5143 4.9622 1.7407
Zr 2.5143 7.5926 0.0000
Zr 2.5143 10.2231 1.7407
Zr 2.5143 12.8965 0.0000
Ta 0.0000 7.5926 1.7407
Ta 2.5143 0.0000 1.7407
```

Peak list (10 most intense, 2θ from 15° to 90°, sorted by position)
d_spacing  I (rel.)
2.531  24
2.514  26
2.492  100
1.784  16
1.741  9
1.454  14
1.447  18
1.431  9
1.246  10
1.126  10

***

[2]
This entry pairs a crystal structure of Tb with its simulated powder X-ray diffraction pattern. Radiation: λ = 1.5418 Å (Cu Kα). Structure: DFT lattice parameters and positions (PBE).

```
6
Lattice="3.5688 0.0000 0.0000 -1.7844 3.0907 0.0000 0.0000 0.0000 17.2837" Properties=species:S:1:pos:R:3 pbc="T T T"
Tb 0.0000 0.0000 4.3209
Tb 0.0000 0.0000 12.9627
Tb 0.0000 2.0604 1.4473
Tb 0.0000 2.0604 7.1946
Tb 1.7844 1.0302 10.0891
Tb 1.7844 1.0302 15.8364
```

Peak list (10 most intense, 2θ from 15° to 90°, sorted by position)
d_spacing  I (rel.)
3.042  34
2.910  89
2.881  58
2.724  100
2.514  61
1.784  43
1.771  21
1.631  22
1.517  51
1.121  20

***

[3]
This entry pairs a crystal structure of Tb with its simulated powder X-ray diffraction pattern. Radiation: λ = 1.5418 Å (Cu Kα). Structure: DFT lattice parameters and positions (PBE).

```
4
Lattice="5.0209 0.0000 0.0000 0.0000 5.0209 0.0000 0.0000 0.0000 5.0209" Properties=species:S:1:pos:R:3 pbc="T T T"
Tb 0.0000 0.0000 0.0000
Tb 0.0000 2.5105 2.5105
Tb 2.5105 0.0000 2.5105
Tb 2.5105 2.5105 0.0000
```

Peak list (8 most intense, 2θ from 15° to 90°, sorted by position)
d_spacing  I (rel.)
2.899  100
2.510  51
1.775  36
1.514  43
1.449  12
1.255  6
1.152  18
1.123  17

***

[4]
This entry pairs a crystal structure of Tb3TlTc with its simulated powder X-ray diffraction pattern. Radiation: λ = 1.5418 Å (Cu Kα). Structure: DFT lattice parameters and positions (PBE).

```
10
Lattice="0.0000 4.8899 8.1002 3.3361 0.0000 8.1002 3.3361 4.8899 0.0000" Properties=species:S:1:pos:R:3 pbc="T T T"
Tb 3.3361 3.0247 6.2911
Tb 3.3361 4.8899 3.2467
Tb 3.3361 3.0247 9.9093
Tb 3.3361 6.7551 6.2911
Tb 3.3361 4.8899 12.9537
Tb 3.3361 6.7551 9.9093
Tl 5.2486 4.8899 8.1002
Tl 1.4236 4.8899 8.1002
Tc 1.6681 2.4449 4.0501
Tc 5.0042 7.3348 12.1502
```

Peak list (10 most intense, 2θ from 15° to 90°, sorted by position)
d_spacing  I (rel.)
3.119  54
2.882  63
2.793  58
2.609  100
2.575  92
2.445  24
2.364  40
1.739  24
1.632  19
1.624  28

***

[5]
This entry pairs a crystal structure of TbTm2Tc9 with its simulated powder X-ray diffraction pattern. Radiation: λ = 1.5418 Å (Cu Kα). Structure: DFT lattice parameters and positions (PBE).

```
12
Lattice="2.6685 1.5407 8.7021 -2.6685 1.5407 8.7021 0.0000 -3.0813 8.7021" Properties=species:S:1:pos:R:3 pbc="T T T"
Tb 0.0000 0.0000 0.0000
Tm 0.0000 0.0000 3.7496
Tm 0.0000 0.0000 22.3567
Tc -1.3769 -0.7949 10.8935
Tc 0.0000 0.0000 8.8262
Tc 0.0000 -1.5899 15.2127
Tc -1.3769 0.7949 15.2127
Tc 0.0000 0.0000 13.0531
Tc 1.3769 -0.7949 10.8935
Tc 0.0000 1.5899 10.8935
Tc 0.0000 0.0000 17.2800
Tc 1.3769 0.7949 15.2127
```

Peak list (10 most intense, 2θ from 15° to 90°, sorted by position)
d_spacing  I (rel.)
2.902  20
2.667  55
2.302  27
2.275  100
2.177  27
2.113  25
1.540  13
1.452  33
1.334  20
1.137  13

***

[6]
This entry pairs a crystal structure of TbVTc with its simulated powder X-ray diffraction pattern. Radiation: λ = 1.5418 Å (Cu Kα). Structure: DFT lattice parameters and positions (PBE).

```
3
Lattice="3.9463 0.0000 0.0000 -1.9731 3.4176 0.0000 0.0000 0.0000 4.7183" Properties=species:S:1:pos:R:3 pbc="T T T"
Tb 0.0000 0.0000 0.0000
V 1.9731 1.1392 2.3592
Tc 0.0000 2.2784 2.3592
```

Peak list (10 most intense, 2θ from 15° to 90°, sorted by position)
d_spacing  I (rel.)
3.418  13
2.768  100
2.359  18
1.973  31
1.941  6
1.607  19
1.514  26
1.429  13
1.246  16
1.157  7